(1)
Theoretical XRD peak list of Rb2Sc3S6 for Cu Kα, 1.54184 Å, from a cell relaxed with PBE.
Neutral-atom scattering factors, no anomalous dispersion.

Peak list (10 most intense, 2θ = 10–90°, low angle first)
| d_spacing | I/Imax |
| --- | --- |
| 5.476 | 11 |
| 5.082 | 9 |
| 3.943 | 10 |
| 2.848 | 100 |
| 2.679 | 11 |
| 2.187 | 30 |
| 1.912 | 10 |
| 1.876 | 31 |
| 1.567 | 14 |
| 1.203 | 12 |

Structural model:
```
11
Lattice="3.2496 -5.6284 0.0000 3.2496 5.6284 0.0000 -2.1646 0.0000 7.8851" Properties=species:S:1:pos:R:3 pbc="T T T"
Rb 3.2496 3.7517 0.0000
Rb 3.2496 -3.7517 0.0000
Sc -1.0823 0.0000 3.9426
Sc 2.1673 1.8758 3.9426
Sc 2.1673 -1.8758 3.9426
S 0.0035 1.8716 5.3728
S 1.0895 0.0000 2.5119
S 0.0035 -1.8716 5.3728
S 4.3311 1.8716 2.5123
S 3.2452 0.0000 5.3732
S 4.3311 -1.8716 2.5123
```



(2)
Theoretical XRD peak list of RbScS2 for Cu Kα, 1.54184 Å, from a cell relaxed with PBE.
Neutral-atom scattering factors, no anomalous dispersion.

Peak list (10 most intense, 2θ = 10–90°, low angle first)
| d_spacing | I/Imax |
| --- | --- |
| 3.879 | 16 |
| 3.335 | 41 |
| 3.064 | 40 |
| 2.529 | 100 |
| 1.926 | 32 |
| 1.725 | 10 |
| 1.676 | 23 |
| 1.544 | 9 |
| 1.532 | 20 |
| 1.199 | 17 |

Structural model:
```
4
Lattice="3.8512 0.0000 0.0000 -1.9256 3.3352 0.0000 0.0000 0.0000 7.7572" Properties=species:S:1:pos:R:3 pbc="T T T"
Rb 0.0000 0.0000 0.0000
Sc 0.0000 0.0000 3.8786
S 0.0000 2.2235 2.4689
S 1.9256 1.1117 5.2884
```



(3)
Theoretical XRD peak list of Rb3TbSc2S6 for Cu Kα, 1.54184 Å, from a cell relaxed with PBE.
Neutral-atom scattering factors, no anomalous dispersion.

Peak list (10 most intense, 2θ = 10–90°, low angle first)
| d_spacing | I/Imax |
| --- | --- |
| 3.818 | 18 |
| 3.277 | 27 |
| 2.936 | 100 |
| 2.196 | 35 |
| 1.974 | 32 |
| 1.903 | 13 |
| 1.754 | 13 |
| 1.638 | 16 |
| 1.372 | 10 |
| 1.261 | 13 |

Structural model:
```
12
Lattice="3.4199 -5.9232 0.0000 3.4199 5.9232 0.0000 -2.2830 0.0000 7.6359" Properties=species:S:1:pos:R:3 pbc="T T T"
Rb 0.0000 0.0000 0.0000
Rb 3.4199 1.9499 0.0000
Rb 3.4199 -1.9499 0.0000
Tb 2.2784 0.0000 3.8180
Sc 2.2784 3.9467 3.8180
Sc 2.2784 -3.9467 3.8180
S 1.0930 2.0538 2.3959
S -0.0931 0.0000 5.2347
S 1.0930 -2.0538 2.3959
S 3.4639 2.0538 5.2401
S 4.6499 0.0000 2.4012
S 3.4639 -2.0538 5.2401
```



(4)
Theoretical XRD peak list of Rb2Se2S3 for Cu Kα, 1.54184 Å, from a cell relaxed with PBE.
Neutral-atom scattering factors, no anomalous dispersion.

Peak list (10 most intense, 2θ = 10–90°, low angle first)
| d_spacing | I/Imax |
| --- | --- |
| 3.635 | 49 |
| 3.607 | 48 |
| 3.580 | 84 |
| 3.475 | 100 |
| 3.252 | 45 |
| 2.968 | 38 |
| 2.923 | 93 |
| 2.531 | 47 |
| 2.458 | 38 |
| 2.221 | 44 |

Structural model:
```
7
Lattice="4.4416 0.0000 0.0000 0.0148 6.9534 0.0000 2.2045 0.2117 7.1600" Properties=species:S:1:pos:R:3 pbc="T T T"
Rb 1.1038 1.6615 1.6641
Rb 5.5571 5.5036 5.4959
Se 3.3209 2.1081 5.0776
Se 3.3400 5.0570 2.0824
S 1.1199 5.1568 1.1902
S 3.3230 0.1059 3.5800
S 5.5409 2.0083 5.9698
```



(5)
Theoretical XRD peak list of Rb2Se8S for Cu Kα, 1.54184 Å, from a cell relaxed with PBE.
Neutral-atom scattering factors, no anomalous dispersion.

Peak list (10 most intense, 2θ = 10–90°, low angle first)
| d_spacing | I/Imax |
| --- | --- |
| 5.356 | 25 |
| 3.803 | 34 |
| 3.452 | 47 |
| 3.437 | 36 |
| 3.404 | 100 |
| 3.138 | 44 |
| 3.091 | 32 |
| 2.908 | 35 |
| 2.631 | 27 |
| 2.262 | 24 |

Structural model:
```
11
Lattice="7.4773 0.0000 0.0000 2.9478 6.8950 0.0000 3.1990 -1.0480 6.9028" Properties=species:S:1:pos:R:3 pbc="T T T"
Rb 2.5427 1.6477 1.5906
Rb 11.0815 4.1993 5.3123
Se 4.0294 0.2240 5.0947
Se 4.4501 5.0946 1.7946
Se 7.5485 4.6764 5.5207
Se 5.9967 1.9833 3.6403
Se 7.6275 3.8637 3.2625
Se 6.0757 1.1706 1.3821
Se 9.1740 0.7524 5.1082
Se 9.5948 5.6229 1.8081
S 5.2126 3.4475 0.0000
```



(6)
Theoretical XRD peak list of RbSe4S for Cu Kα, 1.54184 Å, from a cell relaxed with PBE.
Neutral-atom scattering factors, no anomalous dispersion.

Peak list (10 most intense, 2θ = 10–90°, low angle first)
| d_spacing | I/Imax |
| --- | --- |
| 5.094 | 53 |
| 4.879 | 65 |
| 4.214 | 40 |
| 4.052 | 35 |
| 3.711 | 100 |
| 3.668 | 100 |
| 3.310 | 42 |
| 3.126 | 38 |
| 2.852 | 34 |
| 2.104 | 34 |

Structural model:
```
6
Lattice="5.3274 0.0000 0.0000 -1.2786 5.2511 0.0000 -2.0528 -2.0267 8.1039" Properties=species:S:1:pos:R:3 pbc="T T T"
Rb 0.0000 0.0000 0.0000
Se -1.0156 3.9606 4.9650
Se 0.5725 0.1443 6.8587
Se 1.2270 3.3267 2.9266
Se 3.9765 -0.1629 3.5805
S 1.2955 3.1106 0.6684
```



(7)
Theoretical XRD peak list of Rb2Se5S4 for Cu Kα, 1.54184 Å, from a cell relaxed with PBE.
Neutral-atom scattering factors, no anomalous dispersion.

Peak list (10 most intense, 2θ = 10–90°, low angle first)
| d_spacing | I/Imax |
| --- | --- |
| 6.057 | 48 |
| 4.889 | 34 |
| 4.051 | 32 |
| 3.742 | 100 |
| 3.475 | 60 |
| 3.440 | 92 |
| 3.022 | 34 |
| 2.874 | 74 |
| 2.740 | 49 |
| 2.668 | 44 |

Structural model:
```
11
Lattice="5.1002 0.0000 0.0000 -1.1132 6.2740 0.0000 -1.7779 -3.0514 11.5930" Properties=species:S:1:pos:R:3 pbc="T T T"
Rb 0.0000 0.0000 0.0000
Rb 0.4422 -1.4288 6.3149
Se -1.0112 1.3425 8.8358
Se 0.2662 2.1957 3.1176
Se 1.9190 0.4955 3.4029
Se 1.8260 3.8502 1.4589
Se 3.5851 1.3769 4.8228
S -0.1528 -0.5767 9.8099
S 0.5942 1.9352 7.3699
S 1.1427 -0.1356 11.3579
S 1.8638 3.3345 8.1416
```



(8)
Theoretical XRD peak list of Rb2Se3S2 for Cu Kα, 1.54184 Å, from a cell relaxed with PBE.
Neutral-atom scattering factors, no anomalous dispersion.

Peak list (10 most intense, 2θ = 10–90°, low angle first)
| d_spacing | I/Imax |
| --- | --- |
| 5.046 | 17 |
| 3.338 | 100 |
| 3.196 | 11 |
| 3.020 | 17 |
| 2.759 | 20 |
| 2.563 | 20 |
| 2.225 | 19 |
| 2.198 | 20 |
| 1.684 | 13 |
| 1.681 | 12 |

Structural model:
```
7
Lattice="5.4915 0.0000 0.0000 0.0000 4.4516 0.0000 -1.1325 0.0000 10.0999" Properties=species:S:1:pos:R:3 pbc="T T T"
Rb 0.6135 0.0000 2.5161
Rb 3.7456 0.0000 7.5838
Se -0.5662 2.2258 5.0499
Se 0.9122 2.2258 8.8641
Se 3.4468 2.2258 1.2357
S 1.2235 2.2258 6.6694
S 3.1355 2.2258 3.4305
```



(9)
Theoretical XRD peak list of Rb2USeS4 for Cu Kα, 1.54184 Å, from a cell relaxed with PBE.
Neutral-atom scattering factors, no anomalous dispersion.

Peak list (10 most intense, 2θ = 10–90°, low angle first)
| d_spacing | I/Imax |
| --- | --- |
| 5.691 | 41 |
| 5.569 | 19 |
| 3.938 | 52 |
| 3.310 | 100 |
| 3.238 | 18 |
| 2.784 | 38 |
| 2.131 | 66 |
| 1.824 | 19 |
| 1.761 | 19 |
| 1.446 | 16 |

Structural model:
```
16
Lattice="7.8753 0.0000 0.0000 0.0000 7.8753 0.0000 0.0000 0.0000 8.2328" Properties=species:S:1:pos:R:3 pbc="T T T"
Rb 0.0000 0.0000 0.0000
Rb 0.0000 3.9377 2.0582
Rb 3.9377 0.0000 6.1746
Rb 3.9377 3.9377 4.1164
U 0.0000 3.9377 6.1746
U 3.9377 0.0000 2.0582
Se 0.0000 0.0000 4.1164
Se 3.9377 3.9377 0.0000
S 1.1983 2.2148 4.6755
S 1.7228 5.1359 7.6737
S 2.2148 6.6771 3.5573
S 2.7394 1.7228 0.5591
S 5.1359 6.1525 0.5591
S 5.6605 1.1983 3.5573
S 6.1525 2.7394 7.6737
S 6.6771 5.6605 4.6755
```



(10)
Theoretical XRD peak list of Rb2USe2S2 for Cu Kα, 1.54184 Å, from a cell relaxed with PBE.
Neutral-atom scattering factors, no anomalous dispersion.

Peak list (10 most intense, 2θ = 10–90°, low angle first)
| d_spacing | I/Imax |
| --- | --- |
| 7.441 | 77 |
| 6.542 | 48 |
| 4.100 | 79 |
| 3.642 | 19 |
| 3.299 | 46 |
| 2.723 | 100 |
| 2.617 | 28 |
| 2.480 | 29 |
| 2.028 | 57 |
| 1.686 | 29 |

Structural model:
```
14
Lattice="4.2661 0.0000 0.0000 0.0000 7.2838 0.0000 0.0000 0.0000 14.8810" Properties=species:S:1:pos:R:3 pbc="T T T"
Rb 0.0000 0.0000 2.4259
Rb 0.0000 0.0000 12.4551
Rb 2.1331 3.6419 5.0146
Rb 2.1331 3.6419 9.8664
U 0.0000 3.6419 0.0000
U 2.1331 0.0000 7.4405
Se 0.0000 1.7971 7.4405
Se 0.0000 5.4867 7.4405
Se 2.1331 1.8448 0.0000
Se 2.1331 5.4390 0.0000
S 0.0000 3.6419 2.4341
S 0.0000 3.6419 12.4469
S 2.1331 0.0000 5.0064
S 2.1331 0.0000 9.8746
```



(11)
Theoretical XRD peak list of Rb3U2Se4S3 for Cu Kα, 1.54184 Å, from a cell relaxed with PBE.
Neutral-atom scattering factors, no anomalous dispersion.

Peak list (10 most intense, 2θ = 10–90°, low angle first)
| d_spacing | I/Imax |
| --- | --- |
| 6.953 | 60 |
| 5.112 | 67 |
| 3.903 | 40 |
| 3.799 | 76 |
| 3.772 | 100 |
| 2.781 | 45 |
| 2.740 | 61 |
| 2.600 | 53 |
| 2.222 | 38 |
| 1.886 | 41 |

Structural model:
```
12
Lattice="-2.6005 2.7397 13.9054 2.6005 -2.7397 13.9054 2.6005 2.7397 -13.9054" Properties=species:S:1:pos:R:3 pbc="T T T"
Rb 0.0000 0.0000 0.0000
Rb 0.0000 0.0000 5.1185
Rb 0.0000 0.0000 22.6924
U 0.0000 0.0000 11.2953
U 0.0000 0.0000 16.5156
Se 2.6005 0.0000 2.5594
Se 0.0000 0.0000 8.6819
Se 0.0000 0.0000 19.1290
Se 0.0000 2.7397 11.3460
S 2.6005 0.0000 11.3223
S 0.0000 0.0000 13.9054
S 0.0000 2.7397 2.5832
```



(12)
Theoretical XRD peak list of RbYSeS for Cu Kα, 1.54184 Å, from a cell relaxed with PBE.
Neutral-atom scattering factors, no anomalous dispersion.

Peak list (10 most intense, 2θ = 10–90°, low angle first)
| d_spacing | I/Imax |
| --- | --- |
| 7.978 | 20 |
| 3.549 | 12 |
| 3.438 | 52 |
| 2.871 | 100 |
| 2.476 | 42 |
| 2.072 | 49 |
| 1.992 | 22 |
| 1.680 | 19 |
| 1.437 | 20 |
| 1.305 | 16 |

Structural model:
```
12
Lattice="4.1439 0.0000 0.0000 -2.0720 3.5887 0.0000 0.0000 0.0000 23.9346" Properties=species:S:1:pos:R:3 pbc="T T T"
Rb 0.0000 0.0000 0.0000
Rb 0.0000 2.3925 15.9564
Rb 2.0720 1.1962 7.9782
Y 0.0000 0.0000 3.9300
Y 0.0000 2.3925 19.8864
Y 2.0720 1.1962 11.9082
Se 0.0000 0.0000 13.5381
Se 0.0000 2.3925 5.5599
Se 2.0720 1.1962 21.5163
S 0.0000 0.0000 18.4393
S 0.0000 2.3925 10.4611
S 2.0720 1.1962 2.4829
```



(13)
Theoretical XRD peak list of Rb5Si2S6 for Cu Kα, 1.54184 Å, from a cell relaxed with PBE.
Neutral-atom scattering factors, no anomalous dispersion.

Peak list (10 most intense, 2θ = 10–90°, low angle first)
| d_spacing | I/Imax |
| --- | --- |
| 4.237 | 40 |
| 4.022 | 31 |
| 3.720 | 60 |
| 3.533 | 100 |
| 3.431 | 99 |
| 3.340 | 65 |
| 3.223 | 85 |
| 3.107 | 51 |
| 2.323 | 48 |
| 2.151 | 30 |

Structural model:
```
26
Lattice="6.4589 -4.1406 0.0000 6.4589 4.1406 0.0000 -3.5602 0.0000 16.9467" Properties=species:S:1:pos:R:3 pbc="T T T"
Rb 3.7888 3.1621 12.7100
Rb 5.7385 2.1707 0.0506
Rb 3.4385 0.6912 4.7059
Rb 5.3992 2.1707 8.4227
Rb 1.6585 -0.6912 13.1792
Rb 7.6991 0.6912 3.7674
Rb 3.9584 -2.1707 8.5240
Rb 5.9191 -0.6912 12.2407
Rb 3.6191 -2.1707 16.8960
Rb 5.5688 -3.1621 4.2367
Si 1.5101 1.1765 9.6937
Si 3.2901 -1.1765 1.2204
Si 6.0675 1.1765 15.7263
Si 7.8475 -1.1765 7.2530
S -0.2319 0.4974 10.7137
S 1.3535 0.7207 7.4833
S 1.5482 -0.4974 2.2404
S -0.4265 -0.7207 15.9566
S 3.3153 0.4897 10.5614
S 5.0954 -0.4897 2.0880
S 4.2622 0.4897 14.8586
S 6.0423 -0.4897 6.3853
S 9.7841 0.7207 0.9901
S 7.8094 0.4974 14.7063
S 8.0041 -0.7207 9.4634
S 9.5895 -0.4974 6.2329
```



(14)
Theoretical XRD peak list of Rb2Si2SnS6 for Cu Kα, 1.54184 Å, from a cell relaxed with PBE.
Neutral-atom scattering factors, no anomalous dispersion.

Peak list (10 most intense, 2θ = 10–90°, low angle first)
| d_spacing | I/Imax |
| --- | --- |
| 5.974 | 28 |
| 4.268 | 24 |
| 3.753 | 100 |
| 3.565 | 69 |
| 2.987 | 25 |
| 2.736 | 71 |
| 2.585 | 41 |
| 2.114 | 30 |
| 2.092 | 38 |
| 1.782 | 34 |

Structural model:
```
11
Lattice="3.5648 2.0581 7.8767 -3.5648 2.0581 7.8767 0.0000 -4.1162 7.8767" Properties=species:S:1:pos:R:3 pbc="T T T"
Rb 0.0000 0.0000 5.1273
Rb 0.0000 0.0000 18.5026
Si 0.0000 0.0000 9.8032
Si 0.0000 0.0000 13.8268
Sn 0.0000 0.0000 0.0000
S -1.7716 -1.0229 13.7304
S 0.0000 -2.0457 9.8996
S -1.7716 1.0229 9.8996
S 1.7716 -1.0229 13.7304
S 0.0000 2.0457 13.7304
S 1.7716 1.0229 9.8996
```